Starting from a GGA-PBE-relaxed structure, the powder X-ray diffraction pattern of Tb5PmPr6 was calculated for copper Kα.
Neutral-atom scattering factors, no anomalous dispersion.

Main lines, low angle first (10° ≤ 2θ ≤ 90°):
2θ = 30.03°, I 100
2θ = 34.70°, I 34
2θ = 35.04°, I 17
2θ = 49.89°, I 12
2θ = 50.14°, I 24
2θ = 59.33°, I 29
2θ = 59.78°, I 14
2θ = 62.42°, I 12
2θ = 81.13°, I 6
2θ = 81.52°, I 12

Atomic structure:
Unit cell a=9.6413 b=9.6413 c=9.6413 alpha=148.86 beta=115.82 gamma=73.05
Fractional coordinates of all 12 atoms:
1 Tb 0.0000 0.0000 0.0000
2 Tb 0.1667 0.6667 0.5000
3 Tb 0.3327 0.3327 0.0000
4 Tb 0.6673 0.6673 0.0000
5 Tb 0.8333 0.3333 0.5000
6 Pm 0.5000 0.0000 0.5000
7 Pr 0.0825 0.8332 0.2493
8 Pr 0.2489 0.5000 0.7489
9 Pr 0.4161 0.1668 0.2493
10 Pr 0.5839 0.8332 0.7507
11 Pr 0.7511 0.5000 0.2511
12 Pr 0.9175 0.1668 0.7507

=====

Starting from a GGA-PBE-relaxed structure, the powder X-ray diffraction pattern of AlIn4Hg3 was calculated for copper Kα.
Neutral-atom scattering factors, no anomalous dispersion.

Main lines, low angle first (10° ≤ 2θ ≤ 90°):
2θ = 21.90°, I 38
2θ = 31.55°, I 98
2θ = 32.47°, I 27
2θ = 32.91°, I 100
2θ = 34.07°, I 82
2θ = 35.35°, I 29
2θ = 38.76°, I 31
2θ = 45.55°, I 18
2θ = 58.20°, I 19
2θ = 63.42°, I 26

Atomic structure:
Unit cell a=9.1144 b=9.1144 c=9.1144 alpha=101.62 beta=88.95 gamma=144.78
Fractional coordinates of all 16 atoms:
1 Al 0.2500 0.2500 0.0000
2 Al 0.7500 0.7500 0.0000
3 In 0.0720 0.2391 0.3111
4 In 0.1932 0.6306 0.8238
5 In 0.3068 0.1306 0.4373
6 In 0.4280 0.7391 0.1671
7 In 0.5720 0.2609 0.8329
8 In 0.6932 0.8694 0.5627
9 In 0.8068 0.3694 0.1762
10 In 0.9280 0.7609 0.6889
11 Hg 0.1823 0.8989 0.0812
12 Hg 0.2500 0.7500 0.5000
13 Hg 0.3177 0.3989 0.7167
14 Hg 0.6823 0.6011 0.2833
15 Hg 0.7500 0.2500 0.5000
16 Hg 0.8177 0.1011 0.9188